For AlHg2Ir, a structure optimized by DFT (PBE) gives the calculated powder diffractogram in this record (λ = 1.5418 Å (Cu Kα)).

Structure:
```
AlHg2Ir
1.0
-1.4371 2.0612 6.9777
1.4371 -2.0612 6.9777
1.4371 2.0612 -6.9777
Al Hg Ir
1 2 1
Direct
0.0000 0.0000 0.0000
0.3199 0.8199 0.5000
0.6801 0.1801 0.5000
0.5000 0.5000 0.0000
```

Main lines, by intensity (5 to 70 degrees two-theta):
2θ 22.5, intensity 100; 2θ 40.4, intensity 91; 2θ 36.8, intensity 80; 2θ 39.0, intensity 54; 2θ 58.6, intensity 43; 2θ 38.7, intensity 37; 2θ 66.7, intensity 33; 2θ 43.9, intensity 31; 2θ 28.9, intensity 25; 2θ 46.5, intensity 23; 2θ 60.0, intensity 21; 2θ 64.9, intensity 13

***

For KAlHg2, a structure optimized by DFT (PBE) gives the calculated powder diffractogram in this record (λ = 1.5418 Å (Cu Kα)).

Structure:
```
KAlHg2
1.0
3.3784 0.0000 0.0000
0.0000 4.1914 0.0000
-1.0311 0.0000 7.8020
K Al Hg
1 1 2
Direct
0.0000 0.0000 0.0000
0.0000 0.0000 0.5000
0.4139 0.5000 0.6996
0.5861 0.5000 0.3004
```

Main lines, by intensity (5 to 70 degrees two-theta):
2θ 31.3, intensity 100; 2θ 21.2, intensity 91; 2θ 34.3, intensity 87; 2θ 32.9, intensity 63; 2θ 22.8, intensity 45; 2θ 11.3, intensity 40; 2θ 39.5, intensity 39; 2θ 26.6, intensity 37; 2θ 30.4, intensity 35; 2θ 37.4, intensity 35; 2θ 40.8, intensity 32; 2θ 43.2, intensity 30

***

For LaAlHg, a structure optimized by DFT (PBE) gives the calculated powder diffractogram in this record (λ = 1.5418 Å (Cu Kα)).

Structure:
```
LaAlHg
1.0
-2.3938 3.9303 4.0369
2.3938 -3.9303 4.0369
2.3938 3.9303 -4.0369
La Al Hg
2 2 2
Direct
0.0000 0.0000 0.0000
0.5682 0.0682 0.5000
0.0086 0.6962 0.3125
0.3837 0.6962 0.6875
0.1576 0.3690 0.7886
0.5804 0.3690 0.2114
```

Main lines, by intensity (5 to 70 degrees two-theta):
2θ 31.5, intensity 100; 2θ 38.4, intensity 46; 2θ 31.8, intensity 44; 2θ 21.6, intensity 38; 2θ 37.6, intensity 28; 2θ 50.0, intensity 25; 2θ 61.1, intensity 19; 2θ 22.0, intensity 19; 2θ 31.1, intensity 17; 2θ 36.0, intensity 14; 2θ 64.0, intensity 13; 2θ 66.8, intensity 11

***

For La4AlHg, a structure optimized by DFT (PBE) gives the calculated powder diffractogram in this record (λ = 1.5418 Å (Cu Kα)).

Structure:
```
La4AlHg
1.0
5.3262 0.0000 0.0000
0.0000 5.3262 0.0000
0.0000 0.0000 7.4439
La Al Hg
4 1 1
Direct
0.0000 0.5000 0.2400
0.0000 0.5000 0.7600
0.5000 0.0000 0.2400
0.5000 0.0000 0.7600
0.0000 0.0000 0.0000
0.5000 0.5000 0.5000
```

Main lines, by intensity (5 to 70 degrees two-theta):
2θ 33.9, intensity 100; 2θ 33.7, intensity 51; 2θ 60.3, intensity 38; 2θ 20.5, intensity 30; 2θ 23.6, intensity 22; 2θ 48.3, intensity 19; 2θ 60.7, intensity 18; 2θ 26.5, intensity 13; 2θ 16.6, intensity 13; 2θ 39.7, intensity 11; 2θ 23.9, intensity 10; 2θ 41.7, intensity 9

***

For La4Al2Hg, a structure optimized by DFT (PBE) gives the calculated powder diffractogram in this record (λ = 1.5418 Å (Cu Kα)).

Structure:
```
La4Al2Hg
1.0
2.6967 1.5570 8.6356
-2.6967 1.5570 8.6356
0.0000 -3.1139 8.6356
La Al Hg
4 2 1
Direct
0.1179 0.1179 0.1179
0.3702 0.3702 0.3702
0.6298 0.6298 0.6298
0.8821 0.8821 0.8821
0.2474 0.2474 0.2474
0.7526 0.7526 0.7526
0.5000 0.5000 0.5000
```

Main lines, by intensity (5 to 70 degrees two-theta):
2θ 33.2, intensity 100; 2θ 33.7, intensity 90; 2θ 59.6, intensity 35; 2θ 48.0, intensity 33; 2θ 23.5, intensity 31; 2θ 25.7, intensity 21; 2θ 19.3, intensity 20; 2θ 10.2, intensity 19; 2θ 59.4, intensity 19; 2θ 30.8, intensity 18; 2θ 60.5, intensity 14; 2θ 20.2, intensity 12

***

For La5AlHg4, a structure optimized by DFT (PBE) gives the calculated powder diffractogram in this record (λ = 1.5418 Å (Cu Kα)).

Structure:
```
La5AlHg4
1.0
3.8784 0.0000 0.0000
0.0000 3.8784 0.0000
0.0000 0.0000 19.5588
La Al Hg
5 1 4
Direct
0.0000 0.0000 0.0000
0.0000 0.0000 0.2025
0.0000 0.0000 0.4067
0.0000 0.0000 0.5933
0.0000 0.0000 0.7975
0.5000 0.5000 0.5000
0.5000 0.5000 0.1009
0.5000 0.5000 0.3052
0.5000 0.5000 0.6948
0.5000 0.5000 0.8991
```

Main lines, by intensity (5 to 70 degrees two-theta):
2θ 32.5, intensity 100; 2θ 32.7, intensity 50; 2θ 58.2, intensity 38; 2θ 57.9, intensity 19; 2θ 46.8, intensity 19; 2θ 68.1, intensity 11; 2θ 46.4, intensity 9; 2θ 68.4, intensity 6; 2θ 29.4, intensity 4; 2θ 9.0, intensity 4; 2θ 26.7, intensity 3; 2θ 23.4, intensity 3

***

For LaMgAl2Hg2, a structure optimized by DFT (PBE) gives the calculated powder diffractogram in this record (λ = 1.5418 Å (Cu Kα)).

Structure:
```
LaMgAl2Hg2
1.0
4.6391 0.0000 0.0000
-2.3196 4.0176 0.0000
0.0000 0.0000 7.3343
La Mg Al Hg
1 1 2 2
Direct
0.0000 0.0000 0.0000
0.0000 0.0000 0.5000
0.3333 0.6667 0.2699
0.6667 0.3333 0.7301
0.3333 0.6667 0.7126
0.6667 0.3333 0.2874
```

Main lines, by intensity (5 to 70 degrees two-theta):
2θ 25.3, intensity 100; 2θ 33.1, intensity 73; 2θ 38.8, intensity 58; 2θ 51.9, intensity 20; 2θ 46.9, intensity 20; 2θ 66.7, intensity 19; 2θ 54.5, intensity 17; 2θ 62.5, intensity 17; 2θ 64.8, intensity 13; 2θ 46.3, intensity 11; 2θ 43.3, intensity 11; 2θ 24.3, intensity 10

***

For LaMgAlHg2, a structure optimized by DFT (PBE) gives the calculated powder diffractogram in this record (λ = 1.5418 Å (Cu Kα)).

Structure:
```
LaMgAlHg2
1.0
-2.2461 2.2461 6.0334
2.2461 -2.2461 6.0334
2.2461 2.2461 -6.0334
La Mg Al Hg
1 1 1 2
Direct
0.0000 0.0000 0.0000
0.7500 0.2500 0.5000
0.2500 0.7500 0.5000
0.3827 0.3827 0.0000
0.6173 0.6173 0.0000
```

Main lines, by intensity (5 to 70 degrees two-theta):
2θ 29.8, intensity 100; 2θ 28.1, intensity 96; 2θ 42.5, intensity 63; 2θ 40.1, intensity 56; 2θ 50.8, intensity 46; 2θ 59.9, intensity 46; 2θ 21.1, intensity 40; 2θ 31.8, intensity 31; 2θ 41.3, intensity 29; 2θ 58.1, intensity 19; 2θ 65.7, intensity 18; 2θ 68.9, intensity 14

***

For LaNdAlHg, a structure optimized by DFT (PBE) gives the calculated powder diffractogram in this record (λ = 1.5418 Å (Cu Kα)).

Structure:
```
LaNdAlHg
1.0
3.6956 0.0000 0.0000
0.0000 3.6956 0.0000
0.0000 0.0000 8.1286
La Nd Al Hg
1 1 1 1
Direct
0.0000 0.0000 0.0000
0.0000 0.0000 0.4758
0.5000 0.5000 0.2426
0.5000 0.5000 0.7245
```

Main lines, by intensity (5 to 70 degrees two-theta):
2θ 32.8, intensity 100; 2θ 34.3, intensity 45; 2θ 60.5, intensity 35; 2θ 10.9, intensity 27; 2θ 26.5, intensity 25; 2θ 57.4, intensity 19; 2θ 49.3, intensity 16; 2θ 68.7, intensity 11; 2θ 44.6, intensity 10; 2θ 48.4, intensity 7; 2θ 36.1, intensity 7; 2θ 56.8, intensity 6

***

For La2AlZn3Hg4, a structure optimized by DFT (PBE) gives the calculated powder diffractogram in this record (λ = 1.5418 Å (Cu Kα)).

Structure:
```
La2AlZn3Hg4
1.0
4.4802 0.0000 0.0000
0.0000 4.4802 0.0000
0.0000 0.0000 11.4451
La Al Zn Hg
2 1 3 4
Direct
0.0000 0.5000 0.2492
0.5000 0.0000 0.7508
0.0000 0.0000 0.5000
0.0000 0.5000 0.8606
0.5000 0.0000 0.1394
0.5000 0.5000 0.5000
0.0000 0.0000 0.0000
0.0000 0.5000 0.6333
0.5000 0.0000 0.3667
0.5000 0.5000 0.0000
```

Main lines, by intensity (5 to 70 degrees two-theta):
2θ 32.3, intensity 100; 2θ 40.3, intensity 68; 2θ 30.8, intensity 54; 2θ 29.3, intensity 41; 2θ 42.6, intensity 38; 2θ 44.4, intensity 34; 2θ 51.5, intensity 26; 2θ 61.5, intensity 25; 2θ 68.2, intensity 23; 2θ 58.2, intensity 23; 2θ 23.3, intensity 19; 2θ 25.2, intensity 18

***

For Li6AlHg, a structure optimized by DFT (PBE) gives the calculated powder diffractogram in this record (λ = 1.5418 Å (Cu Kα)).

Structure:
```
Li6AlHg
1.0
4.5203 0.0000 0.0000
0.0000 3.3524 4.5020
0.0000 -3.3524 4.5020
Li Al Hg
6 1 1
Direct
0.0000 0.0000 0.0000
0.0000 0.0356 0.5147
0.0000 0.5147 0.0356
0.5000 0.2711 0.7858
0.5000 0.2986 0.2986
0.5000 0.7858 0.2711
0.5000 0.7687 0.7687
0.0000 0.5368 0.5368
```

Main lines, by intensity (5 to 70 degrees two-theta):
2θ 16.5, intensity 100; 2θ 25.7, intensity 67; 2θ 19.7, intensity 50; 2θ 39.0, intensity 41; 2θ 28.0, intensity 34; 2θ 33.3, intensity 28; 2θ 38.4, intensity 28; 2θ 26.6, intensity 20; 2θ 43.4, intensity 18; 2θ 32.7, intensity 17; 2θ 46.4, intensity 14; 2θ 41.6, intensity 11

***

For LiAlHg2Pt, a structure optimized by DFT (PBE) gives the calculated powder diffractogram in this record (λ = 1.5418 Å (Cu Kα)).

Structure:
```
LiAlHg2Pt
1.0
5.1758 0.0000 0.0000
0.0000 5.1758 0.0000
0.0000 0.0000 4.7149
Li Al Hg Pt
1 1 2 1
Direct
0.0000 0.0000 0.0000
0.5000 0.5000 0.5000
0.0000 0.5000 0.5000
0.5000 0.0000 0.5000
0.5000 0.5000 0.0000
```

Main lines, by intensity (5 to 70 degrees two-theta):
2θ 30.9, intensity 100; 2θ 34.7, intensity 45; 2θ 59.8, intensity 32; 2θ 17.1, intensity 29; 2θ 52.5, intensity 28; 2θ 64.5, intensity 28; 2θ 38.2, intensity 17; 2θ 49.8, intensity 16; 2θ 18.8, intensity 13; 2θ 25.6, intensity 12; 2θ 39.7, intensity 9; 2θ 24.3, intensity 9